(1)
Structure and simulated XRD peak list of Sr3SiO (a GGA-PBE-relaxed structure; Cu Kα, 1.54184 Å).

Atomic structure:
```
Sr3SiO
1.0
3.5366 -7.4416 0.0000
3.5366 7.4416 0.0000
0.0000 0.0000 4.9684
Sr Si O
6 2 2
Cartesian
1.7683 3.7208 2.4842
3.5366 5.3941 0.0000
1.8788 0.0000 2.4842
1.7683 -3.7208 2.4842
5.1944 0.0000 2.4842
3.5366 -5.3941 0.0000
3.5366 2.1081 0.0000
3.5366 -2.1081 0.0000
3.5366 5.6780 2.4842
3.5366 -5.6780 2.4842
```

Main lines, in order of rising 2θ (2θ from 10° to 80°):
2θ = 13.9°, 6.388 Å, I = 16
2θ = 17.9°, 4.968 Å, I = 14
2θ = 21.9°, 4.062 Å, I = 14
2θ = 30.0°, 2.978 Å, I = 100
2θ = 31.0°, 2.881 Å, I = 95
2θ = 35.0°, 2.563 Å, I = 82
2θ = 36.2°, 2.484 Å, I = 41
2θ = 49.0°, 1.860 Å, I = 14
2θ = 51.2°, 1.784 Å, I = 54
2θ = 59.1°, 1.563 Å, I = 25
2θ = 60.9°, 1.520 Å, I = 25
2θ = 64.7°, 1.441 Å, I = 14

---

(2)
Structure and simulated XRD peak list of SrSi2O (a GGA-PBE-relaxed structure; Cu Kα, 1.54184 Å).

Atomic structure:
```
SrSi2O
1.0
4.7672 0.0000 0.0000
0.0000 4.7672 0.0000
0.0000 0.0000 14.6193
Sr Si O
4 8 4
Cartesian
0.0000 1.1918 5.4822
0.0000 3.5754 9.1371
2.3836 1.1918 1.8274
2.3836 3.5754 12.7919
0.0000 0.0000 0.0000
0.0000 2.3836 0.0000
1.1918 1.1918 10.9645
1.1918 3.5754 3.6548
2.3836 0.0000 7.3096
2.3836 2.3836 7.3096
3.5754 1.1918 10.9645
3.5754 3.5754 3.6548
0.0000 1.1918 12.7919
0.0000 3.5754 1.8274
2.3836 1.1918 9.1371
2.3836 3.5754 5.4822
```

Main lines, in order of rising 2θ (2θ from 10° to 80°):
2θ = 26.1°, 3.408 Å, I = 75
2θ = 29.2°, 3.061 Å, I = 100
2θ = 36.0°, 2.492 Å, I = 32
2θ = 37.7°, 2.384 Å, I = 24
2θ = 39.8°, 2.266 Å, I = 12
2θ = 42.9°, 2.110 Å, I = 39
2θ = 45.4°, 1.997 Å, I = 28
2θ = 46.0°, 1.975 Å, I = 27
2θ = 49.9°, 1.827 Å, I = 12
2θ = 60.5°, 1.531 Å, I = 27
2θ = 62.2°, 1.492 Å, I = 13
2θ = 63.0°, 1.476 Å, I = 20

---

(3)
Structure and simulated XRD peak list of SrSi4O8 (a GGA-PBE-relaxed structure; Cu Kα, 1.54184 Å).

Atomic structure:
```
SrSi4O8
1.0
5.3068 0.0000 0.0000
-2.6534 4.5958 0.0000
0.0000 0.0000 6.2987
Sr Si O
1 4 8
Cartesian
0.0000 0.0000 0.0000
0.0000 3.0639 1.7148
0.0000 3.0639 4.5839
2.6534 1.5319 1.7148
2.6534 1.5319 4.5839
-0.9702 1.6805 4.4313
-1.6832 2.9153 1.8674
0.0000 3.0639 0.0000
1.9405 0.0000 4.4313
0.9702 1.6805 1.8674
3.3663 0.0000 1.8674
1.6832 2.9153 4.4313
2.6534 1.5319 0.0000
```

Main lines, in order of rising 2θ (2θ from 10° to 80°):
2θ = 14.1°, 6.299 Å, I = 46
2θ = 24.0°, 3.713 Å, I = 92
2θ = 33.8°, 2.653 Å, I = 100
2θ = 34.5°, 2.598 Å, I = 98
2θ = 36.8°, 2.445 Å, I = 91
2θ = 43.1°, 2.100 Å, I = 27
2θ = 49.1°, 1.856 Å, I = 23
2θ = 55.8°, 1.646 Å, I = 25
2θ = 60.4°, 1.532 Å, I = 45
2θ = 60.9°, 1.521 Å, I = 33
2θ = 69.4°, 1.354 Å, I = 28
2θ = 77.1°, 1.238 Å, I = 21

---

(4)
Structure and simulated XRD peak list of SrTiSi2O7 (a GGA-PBE-relaxed structure; Cu Kα, 1.54184 Å).

Atomic structure:
```
SrTiSi2O7
1.0
2.7046 -7.3550 0.0000
2.7046 7.3550 0.0000
0.0000 0.0000 7.1476
Sr Ti Si O
2 2 4 14
Cartesian
2.7046 4.4354 5.3607
2.7046 -4.4354 1.7869
2.7046 5.7520 1.7869
2.7046 -5.7520 5.3607
2.7046 1.5931 0.1781
2.7046 1.5931 3.3957
2.7046 -1.5931 3.7519
2.7046 -1.5931 6.9694
2.7046 7.2787 5.3607
1.3535 2.2563 4.0135
1.3535 2.2563 6.7079
2.7046 2.0324 1.7869
1.3535 -2.2563 0.4397
1.3535 -2.2563 3.1341
2.7046 0.0000 0.0000
2.7046 0.0000 3.5738
4.0557 2.2563 4.0135
4.0557 2.2563 6.7079
2.7046 -2.0324 5.3607
4.0557 -2.2563 0.4397
4.0557 -2.2563 3.1341
2.7046 -7.2787 1.7869
```

Main lines, in order of rising 2θ (2θ from 10° to 80°):
2θ = 12.0°, 7.355 Å, I = 20
2θ = 24.2°, 3.678 Å, I = 32
2θ = 27.3°, 3.270 Å, I = 29
2θ = 27.5°, 3.239 Å, I = 89
2θ = 30.6°, 2.922 Å, I = 100
2θ = 33.1°, 2.705 Å, I = 36
2θ = 34.7°, 2.584 Å, I = 22
2θ = 35.2°, 2.548 Å, I = 21
2θ = 41.9°, 2.157 Å, I = 33
2θ = 43.4°, 2.084 Å, I = 30
2θ = 45.4°, 2.000 Å, I = 22
2θ = 48.2°, 1.889 Å, I = 22